(1)
Theoretical powder XRD pattern
Compound: Tb6Pr5Sc2
Radiation: a wavelength of 1.5418 Å
Structure: DFT lattice parameters and positions (PBE)

Most intense lines, 2θ = 10–80°, by angle:
2θ (°), d/Å, I/Imax
27.09, 3.292, 26
29.18, 3.061, 81
30.47, 2.934, 32
31.16, 2.870, 44
31.35, 2.854, 50
31.65, 2.827, 34
32.01, 2.796, 100
32.55, 2.751, 21
40.22, 2.242, 22
50.34, 1.813, 22
57.55, 1.602, 19
60.50, 1.530, 20

Atomic structure:
```
data_Tb6Pr5Sc2
_space_group_name_H-M_alt 'P b a m'
_space_group_IT_number 55
_space_group_name_Hall '-P 2 2ab'
_cell_length_a 11.416
_cell_length_b 20.629
_cell_length_c 3.625
_cell_angle_alpha 90.00
_cell_angle_beta 90.00
_cell_angle_gamma 90.00
loop_
_atom_site_label
_atom_site_type_symbol
_atom_site_fract_x
_atom_site_fract_y
_atom_site_fract_z
_atom_site_occupancy
Tb1 Tb 0.080 0.155 0.000 1
Tb2 Tb 0.168 0.883 0.500 1
Tb3 Tb 0.223 0.555 0.500 1
Pr1 Pr 0.000 0.000 0.000 1
Pr2 Pr 0.061 0.423 0.000 1
Pr3 Pr 0.149 0.723 0.000 1
Sc1 Sc 0.111 0.286 0.500 1
```

=====

(2)
Theoretical powder XRD pattern
Compound: NdLuZnPd
Radiation: a wavelength of 1.5418 Å
Structure: DFT lattice parameters and positions (PBE)

Most intense lines, 2θ = 10–80°, by angle:
2θ (°), d/Å, I/Imax
21.58, 4.118, 2
24.97, 3.566, 9
35.60, 2.522, 100
42.02, 2.150, 1
43.98, 2.059, 3
51.24, 1.783, 18
57.82, 1.595, 4
63.95, 1.456, 36
75.39, 1.261, 11

Atomic structure:
```
data_NdLuZnPd
_space_group_name_H-M_alt 'F -4 3 m'
_space_group_IT_number 216
_space_group_name_Hall 'F -4 2 3'
_cell_length_a 7.132
_cell_length_b 7.132
_cell_length_c 7.132
_cell_angle_alpha 90.00
_cell_angle_beta 90.00
_cell_angle_gamma 90.00
loop_
_atom_site_label
_atom_site_type_symbol
_atom_site_fract_x
_atom_site_fract_y
_atom_site_fract_z
_atom_site_occupancy
Nd1 Nd 0.000 0.000 0.000 1
Lu1 Lu 0.000 0.000 0.500 1
Zn1 Zn 0.250 0.250 0.750 1
Pd1 Pd 0.250 0.250 0.250 1
```

=====

(3)
Theoretical powder XRD pattern
Compound: SmDy3Tm
Radiation: a wavelength of 1.5418 Å
Structure: DFT lattice parameters and positions (PBE)

Most intense lines, 2θ = 10–80°, by angle:
2θ (°), d/Å, I/Imax
30.92, 2.892, 94
31.76, 2.818, 100
32.51, 2.754, 50
32.67, 2.741, 44
36.62, 2.454, 22
43.01, 2.103, 15
46.76, 1.943, 32
54.93, 1.671, 15
57.01, 1.615, 17
57.53, 1.602, 19
58.25, 1.584, 15
62.23, 1.492, 29

Atomic structure:
```
data_SmDy3Tm
_space_group_name_H-M_alt 'C 1 2/c 1'
_space_group_IT_number 15
_space_group_name_Hall '-C 2yc'
_cell_length_a 15.245
_cell_length_b 13.117
_cell_length_c 6.539
_cell_angle_alpha 90.00
_cell_angle_beta 103.66
_cell_angle_gamma 90.00
loop_
_atom_site_label
_atom_site_type_symbol
_atom_site_fract_x
_atom_site_fract_y
_atom_site_fract_z
_atom_site_occupancy
Sm1 Sm 0.000 0.077 0.250 1
Sm2 Sm 0.000 0.186 0.750 1
Dy1 Dy 0.100 0.317 0.452 1
Dy2 Dy 0.201 0.187 0.151 1
Dy3 Dy 0.202 0.075 0.649 1
Tm1 Tm 0.100 0.425 0.950 1
```

=====

(4)
Theoretical powder XRD pattern
Compound: KAgBi
Radiation: a wavelength of 1.5418 Å
Structure: DFT lattice parameters and positions (PBE)

Most intense lines, 2θ = 10–80°, by angle:
2θ (°), d/Å, I/Imax
14.43, 6.140, 83
22.94, 3.877, 14
29.09, 3.070, 19
30.94, 2.891, 100
34.30, 2.614, 43
42.98, 2.105, 44
44.33, 2.043, 22
46.86, 1.939, 18
53.90, 1.701, 13
55.02, 1.669, 21
57.14, 1.612, 18
75.08, 1.265, 26

Atomic structure:
```
data_KAgBi
_space_group_name_H-M_alt 'I 4 m m'
_space_group_IT_number 107
_space_group_name_Hall 'I 4 -2'
_cell_length_a 4.086
_cell_length_b 4.086
_cell_length_c 12.281
_cell_angle_alpha 90.00
_cell_angle_beta 90.00
_cell_angle_gamma 90.00
loop_
_atom_site_label
_atom_site_type_symbol
_atom_site_fract_x
_atom_site_fract_y
_atom_site_fract_z
_atom_site_occupancy
K1 K 0.000 0.000 0.000 1
Ag1 Ag 0.000 0.000 0.275 1
Bi1 Bi 0.000 0.000 0.714 1
```